Starting from the PBE+U geometry in Alexandria, the powder X-ray diffraction pattern of Zn3CuW4O16 was calculated for copper Kα.

Most intense lines, 2θ = 15–90°, sorted by position:
index, 2θ (°), intensity
1 0 1, 18.8, 38
1 1 -1, 23.4, 36
1 1 1, 24.2, 50
0 1 2, 29.7, 93
2 1 0, 30.6, 100
1 2 -1, 35.6, 37

Structural model:
```
Zn3CuW4O16
1.0
6.770 0.000 0.000
0.000 5.832 0.000
-0.419 0.000 7.012
Zn Cu W O
3 1 4 16
Direct
0.000 0.000 0.000 Zn
0.250 0.656 0.751 Zn
0.750 0.656 0.249 Zn
0.500 0.995 0.500 Cu
0.000 0.158 0.500 W
0.250 0.502 0.250 W
0.500 0.154 0.000 W
0.750 0.502 0.750 W
0.044 0.703 0.199 O
0.047 0.222 0.234 O
0.200 0.437 0.516 O
0.212 0.961 0.548 O
0.293 0.955 0.947 O
0.298 0.435 0.984 O
0.450 0.222 0.265 O
0.457 0.700 0.301 O
0.543 0.700 0.699 O
0.550 0.222 0.735 O
0.702 0.435 0.016 O
0.707 0.955 0.053 O
0.788 0.961 0.452 O
0.800 0.437 0.484 O
0.953 0.222 0.766 O
0.956 0.703 0.801 O
```